# 1
Sr2Pr5Pb3N2: theoretical powder diffractogram (CuKα), based on a structure optimized by DFT (GGA-PBE).
Lines closer than 0.1° are merged.

Structure:
```
Sr2Pr5Pb3N2
1.0
2.598 -12.953 0.000
2.598 12.953 0.000
0.000 0.000 4.975
Sr Pr Pb N
2 5 3 2
Direct
0.101 0.899 0.000
0.899 0.101 0.000
0.303 0.697 0.000
0.405 0.595 0.500
0.500 0.500 0.000
0.595 0.405 0.500
0.697 0.303 0.000
0.000 0.000 0.500
0.193 0.807 0.500
0.807 0.193 0.500
0.399 0.601 0.000
0.601 0.399 0.000
```

Principal peaks in the range 2θ = 10–80°, low angle first:
- 25.02°, intensity 4
- 30.27°, intensity 100
- 34.58°, intensity 37
- 36.11°, intensity 17
- 49.71°, intensity 13
- 50.86°, intensity 25
- 59.25°, intensity 15
- 59.37°, intensity 13
- 61.35°, intensity 14
- 62.96°, intensity 13

---

# 2
Rb2PbWN4: theoretical powder diffractogram (CuKα), based on a structure optimized by DFT (GGA-PBE).
Lines closer than 0.1° are merged.

Structure:
```
Rb2PbWN4
1.0
6.102 0.000 0.000
0.000 6.102 0.000
0.000 0.000 8.722
Rb Pb W N
4 2 2 8
Direct
0.000 0.000 0.000
0.000 0.500 0.250
0.500 0.000 0.750
0.500 0.500 0.500
0.000 0.000 0.500
0.500 0.500 0.000
0.000 0.500 0.750
0.500 0.000 0.250
0.125 0.272 0.634
0.228 0.625 0.866
0.272 0.875 0.366
0.375 0.228 0.134
0.625 0.772 0.134
0.728 0.125 0.366
0.772 0.375 0.866
0.875 0.728 0.634
```

Principal peaks in the range 2θ = 10–80°, low angle first:
- 17.74°, intensity 30
- 29.11°, intensity 100
- 29.27°, intensity 44
- 41.41°, intensity 8
- 41.87°, intensity 19
- 51.52°, intensity 22
- 51.81°, intensity 40
- 60.36°, intensity 13
- 68.06°, intensity 9
- 68.77°, intensity 18

---

# 3
TaPb2N: theoretical powder diffractogram (CuKα), based on a structure optimized by DFT (GGA-PBE).
Lines closer than 0.1° are merged.

Structure:
```
TaPb2N
1.0
3.313 0.000 0.000
-1.656 2.869 0.000
0.000 0.000 15.850
Ta Pb N
2 4 2
Direct
0.333 0.667 0.250
0.667 0.333 0.750
0.333 0.667 0.599
0.333 0.667 0.901
0.667 0.333 0.099
0.667 0.333 0.401
0.000 0.000 0.000
0.000 0.000 0.500
```

Principal peaks in the range 2θ = 10–80°, low angle first:
- 31.18°, intensity 23
- 33.94°, intensity 20
- 35.61°, intensity 100
- 42.50°, intensity 5
- 46.75°, intensity 14
- 55.48°, intensity 21
- 61.81°, intensity 12
- 66.65°, intensity 18
- 67.68°, intensity 16
- 73.56°, intensity 6

---

# 4
Ta2Pb3W4N3: theoretical powder diffractogram (CuKα), based on a structure optimized by DFT (GGA-PBE).
Lines closer than 0.1° are merged.

Structure:
```
Ta2Pb3W4N3
1.0
5.103 -2.914 0.000
5.103 2.914 0.000
-3.489 0.000 13.291
Ta Pb W N
4 6 8 6
Direct
0.027 0.844 0.571
0.156 0.973 0.929
0.844 0.027 0.071
0.973 0.156 0.429
0.083 0.249 0.748
0.249 0.083 0.248
0.420 0.580 0.750
0.580 0.420 0.250
0.751 0.917 0.752
0.917 0.751 0.252
0.184 0.365 0.071
0.323 0.458 0.431
0.365 0.184 0.571
0.458 0.323 0.931
0.542 0.677 0.069
0.635 0.816 0.429
0.677 0.542 0.569
0.816 0.635 0.929
0.000 0.500 0.500
0.164 0.671 0.003
0.329 0.836 0.497
0.500 0.000 0.000
0.671 0.164 0.503
0.836 0.329 0.997
```

Principal peaks in the range 2θ = 10–80°, low angle first:
- 30.42°, intensity 50
- 30.68°, intensity 25
- 36.60°, intensity 100
- 36.80°, intensity 98
- 36.92°, intensity 95
- 40.73°, intensity 42
- 51.84°, intensity 24
- 53.90°, intensity 24
- 54.38°, intensity 46
- 70.24°, intensity 17

---

# 5
Ta4ZnPbN2: theoretical powder diffractogram (CuKα), based on a structure optimized by DFT (GGA-PBE).
Lines closer than 0.1° are merged.

Structure:
```
Ta4ZnPbN2
1.0
3.183 0.000 0.000
-1.592 2.757 0.000
0.000 0.000 13.807
Ta Zn Pb N
4 1 1 2
Direct
0.000 0.000 0.154
0.000 0.000 0.846
0.333 0.667 0.322
0.333 0.667 0.678
0.333 0.667 0.000
0.000 0.000 0.500
0.667 0.333 0.238
0.667 0.333 0.762
```

Principal peaks in the range 2θ = 10–80°, low angle first:
- 32.47°, intensity 29
- 35.05°, intensity 7
- 38.05°, intensity 100
- 39.15°, intensity 17
- 51.75°, intensity 14
- 57.94°, intensity 21
- 68.00°, intensity 6
- 70.21°, intensity 13
- 71.44°, intensity 16
- 72.16°, intensity 18

---

# 6
YTmPbN: theoretical powder diffractogram (CuKα), based on a structure optimized by DFT (GGA-PBE).
Lines closer than 0.1° are merged.

Structure:
```
YTmPbN
1.0
3.526 0.000 0.000
-1.763 3.054 0.000
0.000 0.000 15.464
Y Tm Pb N
2 2 2 2
Direct
0.333 0.667 0.085
0.667 0.333 0.915
0.333 0.667 0.418
0.667 0.333 0.582
0.333 0.667 0.747
0.667 0.333 0.253
0.000 0.000 0.000
0.000 0.000 0.500
```

Principal peaks in the range 2θ = 10–80°, low angle first:
- 29.24°, intensity 22
- 29.82°, intensity 5
- 34.12°, intensity 100
- 34.81°, intensity 20
- 46.08°, intensity 16
- 51.85°, intensity 22
- 61.97°, intensity 18
- 63.54°, intensity 17
- 63.98°, intensity 21
- 71.86°, intensity 4

---

# 7
Zr3PbN2: theoretical powder diffractogram (CuKα), based on a structure optimized by DFT (GGA-PBE).
Lines closer than 0.1° are merged.

Structure:
```
Zr3PbN2
1.0
3.276 0.000 0.000
-1.638 2.837 0.000
0.000 0.000 20.547
Zr Pb N
6 2 4
Direct
0.000 0.000 0.000
0.000 0.000 0.500
0.333 0.667 0.128
0.333 0.667 0.372
0.667 0.333 0.628
0.667 0.333 0.872
0.000 0.000 0.250
0.000 0.000 0.750
0.333 0.667 0.564
0.333 0.667 0.936
0.667 0.333 0.064
0.667 0.333 0.436
```

Principal peaks in the range 2θ = 10–80°, low angle first:
- 31.53°, intensity 17
- 32.74°, intensity 12
- 34.93°, intensity 25
- 36.17°, intensity 100
- 38.56°, intensity 11
- 47.77°, intensity 14
- 56.15°, intensity 23
- 63.45°, intensity 19
- 67.86°, intensity 23
- 68.63°, intensity 15

---

# 8
PdN: theoretical powder diffractogram (CuKα), based on a structure optimized by DFT (GGA-PBE).
Lines closer than 0.1° are merged.

Structure:
```
PdN
1.0
2.925 0.000 0.000
0.000 2.925 0.000
0.000 0.000 5.671
Pd N
2 2
Direct
0.000 0.500 0.000
0.500 0.000 0.500
0.000 0.000 0.250
0.000 0.000 0.750
```

Principal peaks in the range 2θ = 10–80°, low angle first:
- 30.57°, intensity 1
- 31.55°, intensity 24
- 34.51°, intensity 100
- 43.78°, intensity 20
- 54.96°, intensity 31
- 58.11°, intensity 22
- 63.63°, intensity 10
- 65.88°, intensity 4
- 72.77°, intensity 9
- 74.44°, intensity 21

---

# 9
Pr2PdN3: theoretical powder diffractogram (CuKα), based on a structure optimized by DFT (GGA-PBE).
Lines closer than 0.1° are merged.

Structure:
```
Pr2PdN3
1.0
3.571 0.000 0.000
0.000 3.889 0.000
0.000 0.000 12.972
Pr Pd N
4 2 6
Direct
0.000 0.000 0.150
0.000 0.000 0.850
0.500 0.500 0.350
0.500 0.500 0.650
0.000 0.000 0.500
0.500 0.500 0.000
0.000 0.000 0.335
0.000 0.000 0.665
0.000 0.500 0.500
0.500 0.000 0.000
0.500 0.500 0.165
0.500 0.500 0.835
```

Principal peaks in the range 2θ = 10–80°, low angle first:
- 30.93°, intensity 89
- 32.52°, intensity 91
- 34.09°, intensity 100
- 41.79°, intensity 28
- 46.71°, intensity 23
- 51.16°, intensity 17
- 54.97°, intensity 41
- 58.07°, intensity 35
- 60.99°, intensity 27
- 64.45°, intensity 13

---

# 10
Rb2PdPtN4: theoretical powder diffractogram (CuKα), based on a structure optimized by DFT (GGA-PBE).
Lines closer than 0.1° are merged.

Structure:
```
Rb2PdPtN4
1.0
6.023 0.000 0.000
0.000 4.763 0.000
0.000 0.000 12.153
Rb Pd Pt N
4 2 2 8
Direct
0.000 0.000 0.000
0.000 0.500 0.500
0.500 0.000 0.383
0.500 0.500 0.883
0.000 0.000 0.713
0.000 0.500 0.213
0.500 0.000 0.673
0.500 0.500 0.173
0.242 0.000 0.593
0.242 0.500 0.093
0.274 0.000 0.799
0.274 0.500 0.299
0.726 0.000 0.799
0.726 0.500 0.299
0.758 0.000 0.593
0.758 0.500 0.093
```

Principal peaks in the range 2θ = 10–80°, low angle first:
- 14.58°, intensity 41
- 20.02°, intensity 100
- 24.94°, intensity 66
- 28.94°, intensity 86
- 29.66°, intensity 41
- 33.02°, intensity 36
- 37.78°, intensity 34
- 41.92°, intensity 75
- 48.75°, intensity 22
- 58.64°, intensity 25

---

# 11
Sr2PdPtN2: theoretical powder diffractogram (CuKα), based on a structure optimized by DFT (GGA-PBE).
Lines closer than 0.1° are merged.

Structure:
```
Sr2PdPtN2
1.0
3.817 0.000 0.000
0.000 3.929 0.000
0.000 0.000 7.578
Sr Pd Pt N
2 1 1 2
Direct
0.000 0.000 0.246
0.000 0.000 0.754
0.500 0.500 0.000
0.500 0.500 0.500
0.000 0.500 0.500
0.500 0.000 0.000
```

Principal peaks in the range 2θ = 10–80°, low angle first:
- 32.71°, intensity 90
- 32.84°, intensity 100
- 33.32°, intensity 96
- 46.21°, intensity 21
- 47.65°, intensity 19
- 48.03°, intensity 19
- 58.16°, intensity 39
- 59.08°, intensity 37
- 59.32°, intensity 33
- 77.01°, intensity 16

---

# 12
Sr3Pd4N4: theoretical powder diffractogram (CuKα), based on a structure optimized by DFT (GGA-PBE).
Lines closer than 0.1° are merged.

Structure:
```
Sr3Pd4N4
1.0
3.754 0.000 0.000
0.000 3.843 0.000
0.000 0.000 13.313
Sr Pd N
3 4 4
Direct
0.000 0.000 0.000
0.000 0.500 0.308
0.000 0.500 0.692
0.000 0.000 0.500
0.500 0.000 0.167
0.500 0.000 0.833
0.500 0.500 0.500
0.500 0.000 0.406
0.500 0.000 0.594
0.500 0.500 0.161
0.500 0.500 0.839
```

Principal peaks in the range 2θ = 10–80°, low angle first:
- 20.01°, intensity 17
- 24.10°, intensity 23
- 31.21°, intensity 57
- 36.06°, intensity 100
- 40.66°, intensity 23
- 43.29°, intensity 31
- 47.30°, intensity 23
- 48.50°, intensity 19
- 57.76°, intensity 19
- 66.05°, intensity 18

---

# 13
Pm2Zn4N: theoretical powder diffractogram (CuKα), based on a structure optimized by DFT (GGA-PBE).
Lines closer than 0.1° are merged.

Structure:
```
Pm2Zn4N
1.0
4.262 0.000 0.000
0.000 4.262 0.000
0.000 0.000 15.692
Pm Zn N
4 8 2
Direct
0.000 0.000 0.175
0.000 0.000 0.825
0.500 0.500 0.325
0.500 0.500 0.675
0.000 0.000 0.369
0.000 0.000 0.631
0.000 0.500 0.000
0.000 0.500 0.500
0.500 0.000 0.000
0.500 0.000 0.500
0.500 0.500 0.131
0.500 0.500 0.869
0.000 0.000 0.500
0.500 0.500 0.000
```

Principal peaks in the range 2θ = 10–80°, low angle first:
- 26.98°, intensity 56
- 29.64°, intensity 58
- 31.81°, intensity 100
- 34.29°, intensity 45
- 35.52°, intensity 57
- 37.64°, intensity 82
- 42.41°, intensity 80
- 55.63°, intensity 44
- 56.48°, intensity 30
- 61.54°, intensity 26